[1]
Co3Re4B4: simulated XRD peak list (Cu Kα (weighted mean of Kα1 and Kα2)), based on the GGA-PBE geometry in the Materials Project.
Lines closer than 0.1° are merged.

Principal peaks in the range 2θ from 10° to 80°, sorted by position:
- 22.35 deg, I 474
- 33.76 deg, I 345
- 37.86 deg, I 387
- 40.85 deg, I 291
- 44.41 deg, I 1000
- 45.62 deg, I 182
- 48.49 deg, I 180
- 54.62 deg, I 168
- 71.35 deg, I 152
- 77.92 deg, I 232

Crystal structure
```
22
Lattice="5.3139 0.0000 0.0000 0.0000 5.3139 0.0000 0.0000 0.0000 7.9539" Properties=species:S:1:pos:R:3 pbc="T T T"
Co 0.0000 0.0000 0.0000
Co 0.8596 1.7974 3.9769
Co 1.7974 4.4543 3.9769
Co 2.6570 2.6570 0.0000
Co 3.5165 0.8596 3.9769
Co 4.4543 3.5165 3.9769
Re 0.9266 3.5836 1.7759
Re 0.9266 3.5836 6.1780
Re 1.7303 0.9266 1.7759
Re 1.7303 0.9266 6.1780
Re 3.5836 4.3873 1.7759
Re 3.5836 4.3873 6.1780
Re 4.3873 1.7303 1.7759
Re 4.3873 1.7303 6.1780
B 0.0000 0.0000 2.9843
B 0.0000 0.0000 4.9696
B 0.6507 2.0063 0.0000
B 2.0063 4.6632 0.0000
B 2.6570 2.6570 2.9843
B 2.6570 2.6570 4.9696
B 3.3077 0.6507 0.0000
B 4.6632 3.3077 0.0000
```

[2]
Co22B6Sb: simulated XRD peak list (Cu Kα (weighted mean of Kα1 and Kα2)), based on the GGA-PBE geometry in the Materials Project.
Lines closer than 0.1° are merged.

Principal peaks in the range 2θ from 10° to 80°, sorted by position:
- 28.10 deg, I 77
- 29.37 deg, I 60
- 38.21 deg, I 110
- 42.02 deg, I 326
- 44.71 deg, I 1000
- 48.92 deg, I 235
- 51.32 deg, I 154
- 52.10 deg, I 137
- 76.78 deg, I 218
- 78.67 deg, I 140

Crystal structure
```
29
Lattice="0.0000 5.2665 5.2665 5.2665 0.0000 5.2665 5.2665 5.2665 0.0000" Properties=species:S:1:pos:R:3 pbc="T T T"
Co 1.8170 1.8170 0.0000
Co 3.4495 3.4495 0.0000
Co 1.8170 0.0000 1.8170
Co 5.2665 3.4495 1.8170
Co 3.4495 0.0000 3.4495
Co 5.2665 1.8170 3.4495
Co 6.5228 4.0103 4.0103
Co 2.6333 2.6333 2.6333
Co 0.0000 1.8170 1.8170
Co 3.4495 5.2665 1.8170
Co 3.4495 1.8170 5.2665
Co 4.0103 4.0103 4.0103
Co 6.5228 6.5228 4.0103
Co 6.5228 4.0103 6.5228
Co 4.0103 6.5228 4.0103
Co 4.0103 4.0103 6.5228
Co 6.5228 6.5228 6.5228
Co 0.0000 3.4495 3.4495
Co 1.8170 5.2665 3.4495
Co 1.8170 3.4495 5.2665
Co 7.8998 7.8998 7.8998
Co 4.0103 6.5228 6.5228
B 5.2665 5.2665 2.9521
B 5.2665 2.9521 5.2665
B 7.5810 5.2665 5.2665
B 2.9521 5.2665 5.2665
B 5.2665 7.5810 5.2665
B 5.2665 5.2665 7.5810
Sb 0.0000 0.0000 0.0000
```

[3]
Sc2Co21B6: simulated XRD peak list (Cu Kα (weighted mean of Kα1 and Kα2)), based on the GGA-PBE geometry in the Materials Project.
Lines closer than 0.1° are merged.

Principal peaks in the range 2θ from 10° to 80°, sorted by position:
- 33.97 deg, I 74
- 38.12 deg, I 207
- 41.92 deg, I 226
- 44.60 deg, I 1000
- 48.80 deg, I 164
- 51.19 deg, I 257
- 51.97 deg, I 145
- 74.05 deg, I 59
- 76.57 deg, I 198
- 78.45 deg, I 116

Crystal structure
```
29
Lattice="0.0000 5.2788 5.2788 5.2788 0.0000 5.2788 5.2788 5.2788 0.0000" Properties=species:S:1:pos:R:3 pbc="T T T"
Sc 2.6394 2.6394 2.6394
Sc 7.9182 7.9182 7.9182
Co 0.0000 0.0000 0.0000
Co 1.7785 1.7785 0.0000
Co 3.5003 3.5003 0.0000
Co 1.7785 0.0000 1.7785
Co 5.2788 3.5003 1.7785
Co 3.5003 0.0000 3.5003
Co 5.2788 1.7785 3.5003
Co 6.4898 4.0677 4.0677
Co 0.0000 1.7785 1.7785
Co 3.5003 5.2788 1.7785
Co 3.5003 1.7785 5.2788
Co 4.0677 4.0677 4.0677
Co 6.4898 6.4898 4.0677
Co 6.4898 4.0677 6.4898
Co 4.0677 6.4898 4.0677
Co 4.0677 4.0677 6.4898
Co 6.4898 6.4898 6.4898
Co 0.0000 3.5003 3.5003
Co 1.7785 5.2788 3.5003
Co 1.7785 3.5003 5.2788
Co 4.0677 6.4898 6.4898
B 5.2788 5.2788 2.9028
B 5.2788 2.9028 5.2788
B 7.6548 5.2788 5.2788
B 2.9028 5.2788 5.2788
B 5.2788 7.6548 5.2788
B 5.2788 5.2788 7.6548
```

[4]
Co19Si8B4: simulated XRD peak list (Cu Kα (weighted mean of Kα1 and Kα2)), based on the GGA-PBE geometry in the Materials Project.
Lines closer than 0.1° are merged.

Principal peaks in the range 2θ from 10° to 80°, sorted by position:
- 32.78 deg, I 307
- 42.79 deg, I 296
- 43.42 deg, I 665
- 44.50 deg, I 116
- 45.40 deg, I 114
- 47.05 deg, I 236
- 47.92 deg, I 126
- 48.50 deg, I 1000
- 52.64 deg, I 110
- 78.23 deg, I 118

Crystal structure
```
31
Lattice="4.8074 -4.3166 0.0000 4.8074 4.3166 0.0000 -3.7024 0.0000 7.5982" Properties=species:S:1:pos:R:3 pbc="T T T"
Co 3.7393 2.4345 0.6534
Co 1.8329 1.3266 2.0685
Co 1.9023 2.3999 4.4773
Co 0.0014 1.3075 5.9058
Co 2.7505 -0.0116 0.1752
Co 2.1731 2.4345 6.9449
Co 4.0102 2.3999 3.1209
Co 0.9376 0.0000 3.9754
Co 5.9110 1.3075 1.6924
Co 2.8407 -1.0879 2.5446
Co 0.9619 -1.1093 6.3681
Co 4.0795 1.3266 5.5297
Co 4.9748 0.0000 3.6228
Co 3.0718 -1.0879 5.0536
Co 4.9505 -1.1093 1.2301
Co 3.1619 -0.0116 7.4230
Co 3.7445 -3.6616 2.1721
Co 4.8074 -3.6679 0.0000
Co 2.1680 -3.6616 5.4261
Si 0.7535 -0.7303 1.6324
Si -0.9509 -0.7405 5.1517
Si 1.3398 -2.2723 3.9230
Si 3.0673 -2.2735 0.4079
Si 5.1589 -0.7303 5.9658
Si 2.8452 -2.2735 7.1903
Si 6.8633 -0.7405 2.4465
Si 4.5727 -2.2723 3.6752
B 3.8655 0.6578 1.8737
B 2.9562 0.6701 3.7991
B 4.8074 0.6434 0.0000
B 2.0469 0.6578 5.7245
```